TlNi2Br: theoretical PXRD pattern (Cu Kα), based on a DFT-relaxed cell (GGA-PBE, Alexandria).

Crystal structure
a = 9.160 Å, b = 3.281 Å, c = 7.037 Å
α = 90.00°, β = 126.81°, γ = 90.00°
Space group C2/m (No. 12)
Inequivalent atoms, fractional coordinates:
Tl (0.000, 0.000, 0.000) [2 per cell]
Ni (0.157, 0.500, 0.847) [4 per cell]
Br (0.000, 0.000, 0.500) [2 per cell]

Main lines, in order of rising 2θ (2θ = 5–70°):
- 15.73 deg, intensity 96.1, (0 0 1)
- 24.27 deg, intensity 51.3, (2 0 0)
- 29.83 deg, intensity 50.2, (1 1 0)
- 30.17 deg, intensity 30.4, (1 1 -1)
- 38.13 deg, intensity 100.0, (1 1 -2)
- 39.43 deg, intensity 43.8, (4 0 -2)
- 41.62 deg, intensity 36.6, (3 1 -2)
- 46.32 deg, intensity 57.5, (3 1 0)